# 1
Structure and calculated X-ray powder pattern of NiBiAsO5 (a PBE+U-relaxed structure; Cu Kα, 1.54184 Å).

Cell and atoms:
a b c (Å): 5.326 6.827 6.932
angles (deg): 111.22 107.09 96.04
Space group P-1 (No. 2)
Inequivalent atoms, fractional coordinates:
Ni  0.168  0.135  0.263
Bi  0.401  0.735  0.965
As  0.157  0.687  0.390
O  0.082  0.417  0.203
O  0.134  0.262  0.570
O  0.230  0.003  0.953
O  0.268  0.849  0.274
O  0.419  0.725  0.627

Peak list (10 most intense, 10° ≤ 2θ ≤ 90°, in order of falling intensity)
2θ 27.09, I = 100, hkl 1 0 1; 2θ 28.62, I = 86, hkl 1 0 -2; 2θ 28.88, I = 77, hkl 0 2 0; 2θ 14.68, I = 72, hkl 0 0 1; 2θ 31.75, I = 54, hkl 0 2 -2; 2θ 30.24, I = 53, hkl 1 -2 0; 2θ 33.00, I = 45, hkl 1 2 -1; 2θ 31.19, I = 42, hkl 1 -2 1; 2θ 20.15, I = 41, hkl 1 -1 0; 2θ 33.90, I = 36, hkl 2 0 -1



# 2
Structure and calculated X-ray powder pattern of Na3CoAsCO7 (a PBE+U-relaxed structure; Cu Kα, 1.54184 Å).

Cell and atoms:
a b c (Å): 5.263 6.862 9.156
angles (deg): 90.00 91.07 90.00
Space group P2_1/m (No. 11)
Inequivalent atoms, fractional coordinates:
Na  0.238  0.250  0.081
Na  0.251  0.504  0.741
Co  0.217  0.750  0.341
As  0.298  0.250  0.417
C  0.273  0.750  0.059
O  0.050  0.750  0.120
O  0.154  0.250  0.583
O  0.222  0.053  0.307
O  0.292  0.750  0.918
O  0.376  0.750  0.553
O  0.474  0.750  0.144

Peak list (10 most intense, 10° ≤ 2θ ≤ 90°, in order of falling intensity)
2θ 25.98, I = 100, hkl 0 2 0; 2θ 32.59, I = 94, hkl 0 2 2; 2θ 34.07, I = 62, hkl 2 0 0; 2θ 47.79, I = 42, hkl 0 2 4; 2θ 19.30, I = 39, hkl 1 0 -1; 2θ 25.55, I = 36, hkl 1 0 -2; 2θ 23.55, I = 35, hkl 1 1 1; 2θ 29.16, I = 33, hkl 1 1 2; 2θ 36.74, I = 32, hkl 1 1 3; 2θ 53.41, I = 29, hkl 0 4 0



# 3
Structure and calculated X-ray powder pattern of Na2CoAsCO7 (a PBE+U-relaxed structure; Cu Kα, 1.54184 Å).

Cell and atoms:
a b c (Å): 5.367 6.601 9.129
angles (deg): 90.00 92.81 90.00
Space group P2_1/m (No. 11)
Inequivalent atoms, fractional coordinates:
Na  0.231  0.000  0.274
Co  0.214  0.250  0.844
As  0.295  0.750  0.931
C  0.279  0.250  0.578
O  0.065  0.250  0.644
O  0.152  0.750  0.094
O  0.209  0.546  0.822
O  0.286  0.250  0.441
O  0.380  0.250  0.041
O  0.471  0.250  0.670

Peak list (10 most intense, 10° ≤ 2θ ≤ 90°, in order of falling intensity)
2θ 33.47, I = 100, hkl 2 0 0; 2θ 25.01, I = 85, hkl 1 0 -2; 2θ 33.13, I = 68, hkl 1 0 -3; 2θ 27.02, I = 67, hkl 0 2 0; 2θ 23.84, I = 66, hkl 1 1 1; 2θ 16.58, I = 36, hkl 0 1 1; 2θ 28.77, I = 32, hkl 0 2 1; 2θ 18.79, I = 31, hkl 1 0 -1; 2θ 29.61, I = 30, hkl 1 1 2; 2θ 37.30, I = 26, hkl 1 1 3